# 1
This entry pairs a crystal structure of ErCoSn with its theoretical X-ray powder pattern. Radiation: Cu Ka. Structure: the GGA-PBE geometry in the Materials Project.
Intensities are scaled so that the largest is 1000.

Peak list (10 most intense, 2θ = 10–80°, most intense first)
2.634 Å, 2θ 34.04, intensity 1000; 2.280 Å, 2θ 39.53, intensity 603; 2.653 Å, 2θ 33.78, intensity 451; 2.152 Å, 2θ 41.99, intensity 399; 2.564 Å, 2θ 34.99, intensity 274; 1.386 Å, 2θ 67.60, intensity 209; 1.612 Å, 2θ 57.15, intensity 177; 1.704 Å, 2θ 53.78, intensity 161; 3.262 Å, 2θ 27.34, intensity 141; 1.376 Å, 2θ 68.17, intensity 136

Structure:
```
12
Lattice="7.1872 0.0000 0.0000 0.0000 4.5623 0.0000 0.0000 0.0000 7.3213" Properties=species:S:1:pos:R:3 pbc="T T T"
Er 0.1556 1.1406 1.4800
Er 3.4380 3.4217 5.1407
Er 3.7492 1.1406 2.1807
Er 7.0316 3.4217 5.8413
Co 1.1439 3.4217 3.2277
Co 2.4497 1.1406 6.8884
Co 4.7375 3.4217 0.4330
Co 6.0433 1.1406 4.0936
Sn 1.4636 1.1406 4.4456
Sn 2.1300 3.4217 0.7850
Sn 5.0572 1.1406 6.5363
Sn 5.7236 3.4217 2.8757
```

# 2
This entry pairs a crystal structure of Er7Co6Sn23 with its theoretical X-ray powder pattern. Radiation: Cu Ka. Structure: the GGA-PBE geometry in the Materials Project.
Intensities are scaled so that the largest is 1000.

Peak list (10 most intense, 2θ = 10–80°, most intense first)
2.808 Å, 2θ 31.87, intensity 1000; 2.568 Å, 2θ 34.94, intensity 539; 2.825 Å, 2θ 31.67, intensity 454; 1.678 Å, 2θ 54.69, intensity 233; 2.448 Å, 2θ 36.71, intensity 208; 4.052 Å, 2θ 21.94, intensity 183; 2.517 Å, 2θ 35.67, intensity 154; 2.321 Å, 2θ 38.80, intensity 151; 2.958 Å, 2θ 30.21, intensity 143; 4.642 Å, 2θ 19.12, intensity 137

Structure:
```
36
Lattice="10.0694 0.0000 0.0000 -5.0347 8.7203 0.0000 0.0000 0.0000 10.9663" Properties=species:S:1:pos:R:3 pbc="T T T"
Er 0.0000 0.0000 0.0000
Er -2.1492 4.5727 3.1690
Er 2.1492 4.5727 3.1690
Er 0.0000 8.2953 3.1690
Er 5.0347 0.4250 7.7973
Er 2.8854 4.1476 7.7973
Er 7.1839 4.1476 7.7973
Co 0.0000 3.3759 1.6410
Co -2.1111 7.0324 1.6410
Co 2.9236 1.6879 9.3253
Co 2.1111 7.0324 1.6410
Co 7.1458 1.6879 9.3253
Co 5.0347 5.3445 9.3253
Sn 0.0000 0.0000 5.4832
Sn -1.7504 3.0318 0.0000
Sn -3.2843 5.6885 0.0000
Sn 0.0000 2.0346 3.5417
Sn -3.2727 7.7031 3.5417
Sn 0.0000 3.9783 6.1058
Sn -1.5894 6.7312 6.1058
Sn 1.7620 1.0173 7.4246
Sn 0.0000 5.8136 1.1953
Sn 0.0000 5.8136 8.7594
Sn 3.5008 0.0000 0.0000
Sn 1.7504 3.0318 0.0000
Sn 3.4453 1.9892 4.8605
Sn 1.5893 6.7312 6.1058
Sn 6.5686 0.0000 0.0000
Sn 3.2843 5.6885 0.0000
Sn 5.0347 2.9068 2.2069
Sn 5.0347 2.9068 9.7710
Sn 3.2727 7.7031 3.5417
Sn 6.6240 1.9892 4.8605
Sn 5.0347 4.7420 4.8605
Sn 8.3074 1.0173 7.4246
Sn 5.0347 6.6858 7.4246
```

# 3
This entry pairs a crystal structure of Er3Co6Sn5 with its theoretical X-ray powder pattern. Radiation: Cu Ka. Structure: the GGA-PBE geometry in the Materials Project.
Intensities are scaled so that the largest is 1000.

Peak list (10 most intense, 2θ = 10–80°, most intense first)
2.524 Å, 2θ 35.57, intensity 1000; 2.970 Å, 2θ 30.08, intensity 710; 2.570 Å, 2θ 34.91, intensity 496; 2.157 Å, 2θ 41.89, intensity 449; 2.371 Å, 2θ 37.95, intensity 330; 1.639 Å, 2θ 56.12, intensity 279; 1.409 Å, 2θ 66.37, intensity 248; 1.950 Å, 2θ 46.56, intensity 244; 2.136 Å, 2θ 42.32, intensity 209; 2.049 Å, 2θ 44.21, intensity 173

Structure:
```
14
Lattice="-2.1565 4.7996 6.1456 2.1565 -4.7996 6.1456 2.1565 4.7996 -6.1456" Properties=species:S:1:pos:R:3 pbc="T T T"
Er 0.0000 0.0000 0.0000
Er 0.0000 0.0000 3.8971
Er 0.0000 0.0000 8.3940
Co 2.1565 -2.1760 4.8182
Co 2.1565 2.9203 0.0000
Co 0.0000 2.6236 1.3273
Co 2.1565 2.1760 4.8182
Co 0.0000 1.8793 6.1456
Co 0.0000 6.9756 1.3273
Sn 2.1565 -1.5140 2.1729
Sn 2.1565 1.5140 2.1729
Sn 0.0000 4.7996 0.0000
Sn 0.0000 3.2856 3.9726
Sn 0.0000 6.3135 3.9726
```

# 4
This entry pairs a crystal structure of Er6CoTe2 with its theoretical X-ray powder pattern. Radiation: Cu Ka. Structure: the GGA-PBE geometry in the Materials Project.
Intensities are scaled so that the largest is 1000.

Peak list (10 most intense, 2θ = 10–80°, most intense first)
2.837 Å, 2θ 31.54, intensity 1000; 2.713 Å, 2θ 33.02, intensity 684; 2.638 Å, 2θ 33.98, intensity 578; 2.393 Å, 2θ 37.59, intensity 287; 2.226 Å, 2θ 40.53, intensity 280; 1.581 Å, 2θ 58.36, intensity 272; 1.517 Å, 2θ 61.11, intensity 251; 1.946 Å, 2θ 46.68, intensity 187; 1.772 Å, 2θ 51.57, intensity 180; 1.453 Å, 2θ 64.09, intensity 146

Structure:
```
9
Lattice="8.2883 0.0000 0.0000 -4.1442 7.1779 0.0000 0.0000 0.0000 3.8915" Properties=species:S:1:pos:R:3 pbc="T T T"
Er -0.9828 1.7023 0.0000
Er -2.5021 4.3337 1.9457
Er 1.9657 0.0000 0.0000
Er 1.6421 2.8442 1.9457
Er 5.0041 0.0000 1.9457
Er 3.1613 5.4755 0.0000
Co 0.0000 0.0000 1.9457
Te 0.0000 4.7853 0.0000
Te 4.1442 2.3926 0.0000
```

# 5
This entry pairs a crystal structure of EuGa3Co2 with its theoretical X-ray powder pattern. Radiation: Cu Ka. Structure: the GGA-PBE geometry in the Materials Project.
Intensities are scaled so that the largest is 1000.

Peak list (10 most intense, 2θ = 10–80°, most intense first)
2.637 Å, 2θ 34.00, intensity 1000; 2.627 Å, 2θ 34.14, intensity 780; 2.493 Å, 2θ 36.03, intensity 408; 1.994 Å, 2θ 45.50, intensity 291; 2.179 Å, 2θ 41.44, intensity 290; 1.522 Å, 2θ 60.87, intensity 284; 2.469 Å, 2θ 36.39, intensity 281; 2.327 Å, 2θ 38.69, intensity 251; 1.567 Å, 2θ 58.93, intensity 222; 1.935 Å, 2θ 46.96, intensity 222

Structure:
```
12
Lattice="4.9372 -3.8643 0.0000 4.9372 3.8643 0.0000 0.0000 0.0000 5.2771" Properties=species:S:1:pos:R:3 pbc="T T T"
Eu 4.9372 2.6678 3.9579
Eu 4.9372 -2.6678 1.3193
Ga 3.0216 2.1522 1.3193
Ga 6.8528 2.1522 1.3193
Ga 4.9372 0.3982 1.3193
Ga 4.9372 -0.3982 3.9579
Ga 3.0216 -2.1522 3.9579
Ga 6.8528 -2.1522 3.9579
Co 2.9245 0.0000 0.0000
Co 2.9245 0.0000 2.6386
Co 6.9499 0.0000 0.0000
Co 6.9499 0.0000 2.6386
```

# 6
This entry pairs a crystal structure of EuGa8Co2 with its theoretical X-ray powder pattern. Radiation: Cu Ka. Structure: the GGA-PBE geometry in the Materials Project.
Intensities are scaled so that the largest is 1000.

Peak list (10 most intense, 2θ = 10–80°, most intense first)
2.484 Å, 2θ 36.17, intensity 1000; 2.623 Å, 2θ 34.18, intensity 603; 2.025 Å, 2θ 44.74, intensity 510; 2.043 Å, 2θ 44.34, intensity 397; 2.055 Å, 2θ 44.06, intensity 334; 2.444 Å, 2θ 36.78, intensity 300; 1.945 Å, 2θ 46.70, intensity 247; 2.366 Å, 2θ 38.04, intensity 179; 1.403 Å, 2θ 66.67, intensity 163; 1.442 Å, 2θ 64.61, intensity 144

Structure:
```
44
Lattice="12.5475 0.0000 0.0000 0.0000 14.3215 0.0000 0.0000 0.0000 4.0506" Properties=species:S:1:pos:R:3 pbc="T T T"
Eu 1.9751 2.5868 0.0000
Eu 4.2986 9.7475 0.0000
Eu 8.2489 4.5739 0.0000
Eu 10.5723 11.7346 0.0000
Ga 0.0000 0.0000 0.0000
Ga 0.0000 7.1607 2.0253
Ga 0.2920 12.4100 2.0253
Ga 0.6277 4.5656 2.0253
Ga 1.2266 10.6694 0.0000
Ga 2.0323 6.5126 0.0000
Ga 2.0490 8.8838 2.0253
Ga 2.1347 0.1374 2.0253
Ga 2.9968 11.8249 2.0253
Ga 3.2769 4.6641 2.0253
Ga 4.1391 7.2981 2.0253
Ga 4.2247 1.7231 2.0253
Ga 4.2414 13.6733 0.0000
Ga 5.0471 3.5087 0.0000
Ga 5.6461 11.7263 2.0253
Ga 5.9817 5.2493 2.0253
Ga 6.2737 0.0000 2.0253
Ga 6.2737 7.1607 0.0000
Ga 6.5657 9.0722 2.0253
Ga 6.9014 2.5951 2.0253
Ga 7.5004 10.8128 0.0000
Ga 8.3061 0.6481 0.0000
Ga 8.3228 12.5984 2.0253
Ga 8.4084 7.0233 2.0253
Ga 9.2706 9.6573 2.0253
Ga 9.5506 2.4966 2.0253
Ga 10.4128 14.1841 2.0253
Ga 10.4984 5.4376 2.0253
Ga 10.5152 7.8089 0.0000
Ga 11.3208 3.6520 0.0000
Ga 11.9198 9.7559 2.0253
Ga 12.2555 1.9115 2.0253
Co 0.4216 8.4926 0.0000
Co 1.9066 12.9291 0.0000
Co 4.3671 5.7684 0.0000
Co 5.8521 1.3319 0.0000
Co 6.6954 12.9896 0.0000
Co 8.1803 8.5531 0.0000
Co 10.6409 1.3924 0.0000
Co 12.1259 5.8288 0.0000
```

# 7
This entry pairs a crystal structure of Eu2Co5Ge3 with its theoretical X-ray powder pattern. Radiation: Cu Ka. Structure: the GGA-PBE geometry in the Materials Project.
Intensities are scaled so that the largest is 1000.

Peak list (10 most intense, 2θ = 10–80°, most intense first)
2.600 Å, 2θ 34.50, intensity 1000; 2.485 Å, 2θ 36.15, intensity 882; 2.010 Å, 2θ 45.10, intensity 587; 1.590 Å, 2θ 57.99, intensity 439; 2.843 Å, 2θ 31.47, intensity 268; 1.823 Å, 2θ 50.04, intensity 258; 1.462 Å, 2θ 63.66, intensity 215; 1.350 Å, 2θ 69.63, intensity 190; 1.422 Å, 2θ 65.68, intensity 183; 1.234 Å, 2θ 77.34, intensity 179

Structure:
```
10
Lattice="4.0207 0.0000 0.0000 0.0000 4.0207 0.0000 0.0000 0.0000 10.2247" Properties=species:S:1:pos:R:3 pbc="T T T"
Eu 0.0000 0.0000 0.0000
Eu 2.0103 2.0103 5.0264
Co 0.0000 2.0103 2.4196
Co 0.0000 2.0103 7.6283
Co 2.0103 0.0000 2.4196
Co 2.0103 0.0000 7.6283
Co 2.0103 2.0103 1.2406
Ge 0.0000 0.0000 3.6579
Ge 0.0000 0.0000 6.4569
Ge 2.0103 2.0103 8.9011
```

# 8
This entry pairs a crystal structure of EuCo2Ge2 with its theoretical X-ray powder pattern. Radiation: Cu Ka. Structure: the GGA-PBE geometry in the Materials Project.
Intensities are scaled so that the largest is 1000.

Peak list (10 most intense, 2θ = 10–80°, most intense first)
2.633 Å, 2θ 34.05, intensity 1000; 2.492 Å, 2θ 36.05, intensity 747; 2.002 Å, 2θ 45.29, intensity 529; 1.594 Å, 2θ 57.85, intensity 429; 2.832 Å, 2θ 31.60, intensity 253; 1.487 Å, 2θ 62.45, intensity 235; 1.858 Å, 2θ 49.04, intensity 228; 1.416 Å, 2θ 65.98, intensity 166; 1.362 Å, 2θ 68.95, intensity 164; 1.231 Å, 2θ 77.55, intensity 149

Structure:
```
5
Lattice="-2.0024 2.0024 5.2426 2.0024 -2.0024 5.2426 2.0024 2.0024 -5.2426" Properties=species:S:1:pos:R:3 pbc="T T T"
Eu 0.0000 0.0000 0.0000
Co 2.0024 0.0000 2.6213
Co 0.0000 2.0024 2.6213
Ge 0.0000 0.0000 3.8296
Ge 0.0000 0.0000 6.6555
```

# 9
This entry pairs a crystal structure of EuCo2SiGe with its theoretical X-ray powder pattern. Radiation: Cu Ka. Structure: the GGA-PBE geometry in the Materials Project.
Intensities are scaled so that the largest is 1000.

Peak list (10 most intense, 2θ = 10–80°, most intense first)
2.458 Å, 2θ 36.56, intensity 1000; 2.586 Å, 2θ 34.69, intensity 875; 1.981 Å, 2θ 45.81, intensity 506; 1.573 Å, 2θ 58.71, intensity 377; 3.695 Å, 2θ 24.09, intensity 298; 1.819 Å, 2θ 50.14, intensity 240; 1.458 Å, 2θ 63.86, intensity 230; 1.217 Å, 2θ 78.61, intensity 201; 1.340 Å, 2θ 70.24, intensity 175; 2.801 Å, 2θ 31.95, intensity 168

Structure:
```
5
Lattice="-1.9809 1.9809 5.1203 1.9809 -1.9809 5.1203 1.9809 1.9809 -5.1203" Properties=species:S:1:pos:R:3 pbc="T T T"
Eu 0.0000 0.0000 0.0000
Co 1.9809 0.0000 2.6139
Co 0.0000 1.9809 2.6139
Si 0.0000 0.0000 3.7298
Ge 0.0000 0.0000 6.4610
```

# 10
This entry pairs a crystal structure of EuCo8P5 with its theoretical X-ray powder pattern. Radiation: Cu Ka. Structure: the GGA-PBE geometry in the Materials Project.
Intensities are scaled so that the largest is 1000.

Peak list (10 most intense, 2θ = 10–80°, most intense first)
2.191 Å, 2θ 41.21, intensity 1000; 2.268 Å, 2θ 39.74, intensity 794; 2.476 Å, 2θ 36.27, intensity 609; 1.769 Å, 2θ 51.68, intensity 586; 2.402 Å, 2θ 37.43, intensity 495; 2.794 Å, 2θ 32.03, intensity 384; 2.256 Å, 2θ 39.97, intensity 354; 1.998 Å, 2θ 45.40, intensity 338; 2.488 Å, 2θ 36.10, intensity 335; 1.557 Å, 2θ 59.35, intensity 328

Structure:
```
28
Lattice="3.5375 0.0000 0.0000 0.0000 10.5003 0.0000 0.0000 0.0000 9.2388" Properties=species:S:1:pos:R:3 pbc="T T T"
Eu 0.8844 2.6251 1.6440
Eu 2.6531 7.8752 7.5947
Co 0.8844 0.0574 8.2160
Co 0.8844 0.8645 4.4310
Co 0.8844 2.6251 7.8594
Co 0.8844 4.3856 4.4310
Co 0.8844 5.1927 8.2160
Co 0.8844 6.4022 2.7970
Co 0.8844 7.8752 5.0291
Co 0.8844 9.3482 2.7970
Co 2.6531 1.1521 6.4417
Co 2.6531 2.6251 4.2097
Co 2.6531 4.0981 6.4417
Co 2.6531 5.3076 1.0228
Co 2.6531 6.1146 4.8078
Co 2.6531 7.8752 1.3793
Co 2.6531 9.6358 4.8078
Co 2.6531 10.4428 1.0228
P 0.8844 2.6251 5.6786
P 0.8844 5.8694 6.1097
P 0.8844 6.6124 0.6118
P 0.8844 9.1379 0.6118
P 0.8844 9.8810 6.1097
P 2.6531 0.6193 3.1291
P 2.6531 1.3623 8.6270
P 2.6531 3.8878 8.6270
P 2.6531 4.6308 3.1291
P 2.6531 7.8752 3.5602
```

# 11
This entry pairs a crystal structure of EuCo2Si2 with its theoretical X-ray powder pattern. Radiation: Cu Ka. Structure: the GGA-PBE geometry in the Materials Project.
Intensities are scaled so that the largest is 1000.

Peak list (10 most intense, 2θ = 10–80°, most intense first)
2.428 Å, 2θ 37.03, intensity 1000; 2.553 Å, 2θ 35.16, intensity 632; 3.651 Å, 2θ 24.38, intensity 510; 1.958 Å, 2θ 46.37, intensity 395; 1.554 Å, 2θ 59.50, intensity 270; 1.438 Å, 2θ 64.83, intensity 223; 1.203 Å, 2θ 79.73, intensity 200; 2.525 Å, 2θ 35.56, intensity 189; 1.795 Å, 2θ 50.87, intensity 175; 1.547 Å, 2θ 59.77, intensity 160

Structure:
```
5
Lattice="-1.9581 1.9581 5.0491 1.9581 -1.9581 5.0491 1.9581 1.9581 -5.0491" Properties=species:S:1:pos:R:3 pbc="T T T"
Eu 0.0000 0.0000 0.0000
Co 1.9581 0.0000 2.5246
Co 0.0000 1.9581 2.5246
Si 0.0000 0.0000 3.6878
Si 0.0000 0.0000 6.4104
```

Repeat the ninth record exactly.
This entry pairs a crystal structure of EuCo2SiGe with its theoretical X-ray powder pattern. Radiation: Cu Ka. Structure: the GGA-PBE geometry in the Materials Project.
Intensities are scaled so that the largest is 1000.

Peak list (10 most intense, 2θ = 10–80°, most intense first)
2.458 Å, 2θ 36.56, intensity 1000; 2.586 Å, 2θ 34.69, intensity 875; 1.981 Å, 2θ 45.81, intensity 506; 1.573 Å, 2θ 58.71, intensity 377; 3.695 Å, 2θ 24.09, intensity 298; 1.819 Å, 2θ 50.14, intensity 240; 1.458 Å, 2θ 63.86, intensity 230; 1.217 Å, 2θ 78.61, intensity 201; 1.340 Å, 2θ 70.24, intensity 175; 2.801 Å, 2θ 31.95, intensity 168

Structure:
```
5
Lattice="-1.9809 1.9809 5.1203 1.9809 -1.9809 5.1203 1.9809 1.9809 -5.1203" Properties=species:S:1:pos:R:3 pbc="T T T"
Eu 0.0000 0.0000 0.0000
Co 1.9809 0.0000 2.6139
Co 0.0000 1.9809 2.6139
Si 0.0000 0.0000 3.7298
Ge 0.0000 0.0000 6.4610
```